Ca5Pd3: simulated powder X-ray diffraction pattern (Cu Kα X-rays), based on the PBE geometry in Alexandria.

The 10 most intense peaks (2θ from 10° to 80°), low angle first:
| d [Å] | 2θ (°) | I_rel |
| --- | --- | --- |
| 4.028 | 22.07 | 100 |
| 3.577 | 24.89 | 37 |
| 2.838 | 31.52 | 32 |
| 2.781 | 32.19 | 57 |
| 2.537 | 35.39 | 63 |
| 2.529 | 35.49 | 62 |
| 2.495 | 35.99 | 25 |
| 2.437 | 36.89 | 41 |
| 2.032 | 44.59 | 36 |
| 2.002 | 45.29 | 46 |

Cell and atoms:
Lattice parameters (Å, degrees): 11.3116 11.3116 6.6577 90.00 90.00 90.00
Sites, in units of the cell vectors:
Ca  0.0425  0.1625  0.1243
Ca  0.0425  0.3375  0.6243
Ca  0.1625  0.0425  0.6243
Ca  0.1625  0.4575  0.1243
Ca  0.2500  0.7500  0.0000
Ca  0.2500  0.7500  0.5000
Ca  0.3375  0.0425  0.1243
Ca  0.3375  0.4575  0.6243
Ca  0.4575  0.1625  0.6243
Ca  0.4575  0.3375  0.1243
Ca  0.5425  0.6625  0.8757
Ca  0.5425  0.8375  0.3757
Ca  0.6625  0.5425  0.3757
Ca  0.6625  0.9575  0.8757
Ca  0.7500  0.2500  0.0000
Ca  0.7500  0.2500  0.5000
Ca  0.8375  0.5425  0.8757
Ca  0.8375  0.9575  0.3757
Ca  0.9575  0.6625  0.3757
Ca  0.9575  0.8375  0.8757
Pd  0.0963  0.5963  0.7500
Pd  0.0963  0.9037  0.2500
Pd  0.2500  0.2500  0.3744
Pd  0.2500  0.2500  0.8744
Pd  0.4037  0.5963  0.2500
Pd  0.4037  0.9037  0.7500
Pd  0.5963  0.0963  0.2500
Pd  0.5963  0.4037  0.7500
Pd  0.7500  0.7500  0.1256
Pd  0.7500  0.7500  0.6256
Pd  0.9037  0.0963  0.7500
Pd  0.9037  0.4037  0.2500

UTl2Te3: simulated powder X-ray diffraction pattern (Cu Kα X-rays), based on the PBE geometry in Alexandria.

The 10 most intense peaks (2θ from 10° to 80°), low angle first:
| d [Å] | 2θ (°) | I_rel |
| --- | --- | --- |
| 3.320 | 26.85 | 100 |
| 2.420 | 37.15 | 13 |
| 2.395 | 37.55 | 26 |
| 2.303 | 39.11 | 24 |
| 2.281 | 39.50 | 12 |
| 2.011 | 45.09 | 7 |
| 1.880 | 48.41 | 12 |
| 1.660 | 55.34 | 11 |
| 1.509 | 61.46 | 10 |
| 1.462 | 63.63 | 10 |

Cell and atoms:
Lattice parameters (Å, degrees): 7.9289 7.9289 8.4506 98.90 98.90 119.36
Sites, in units of the cell vectors:
U  0.1689  0.8311  0.0000
U  0.8311  0.1689  0.0000
Tl  0.0000  0.0000  0.5000
Tl  0.3448  0.6552  0.5000
Tl  0.5000  0.5000  0.0000
Tl  0.6552  0.3448  0.5000
Te  0.0588  0.4248  0.7780
Te  0.2049  0.2049  0.2086
Te  0.4248  0.0588  0.7780
Te  0.5752  0.9412  0.2220
Te  0.7951  0.7951  0.7914
Te  0.9412  0.5752  0.2220